# NaSc4In5
Computed powder X-ray diffraction pattern, Cu Ka. Input: the PBE geometry in Alexandria.
Peak positions follow from Bragg's law for the DFT cell and can differ from measured ones.

Cell and atoms:
```
data_NaSc4In5
_space_group_name_H-M_alt 'P 1'
_space_group_IT_number 1
_space_group_name_Hall 'P 1'
_cell_length_a 3.240
_cell_length_b 4.308
_cell_length_c 16.700
_cell_angle_alpha 90.00
_cell_angle_beta 90.00
_cell_angle_gamma 90.00
loop_
_atom_site_label
_atom_site_fract_x
_atom_site_fract_y
_atom_site_fract_z
_atom_site_occupancy
Na1 0.000 0.000 0.000 1
Sc1 0.000 0.000 0.208 1
Sc2 0.000 0.000 0.403 1
Sc3 0.000 0.000 0.597 1
Sc4 0.000 0.000 0.792 1
In1 0.500 0.500 0.114 1
In2 0.500 0.500 0.306 1
In3 0.500 0.500 0.500 1
In4 0.500 0.500 0.694 1
In5 0.500 0.500 0.886 1
```

Top 6 peaks for 2θ = 5–70°, in order of rising 2θ:
4.308 Å, 20.62°, rel. 41.8, (0 1 0)
2.640 Å, 33.96°, rel. 97.9, (0 1 5)
2.589 Å, 34.64°, rel. 100.0, (1 1 0)
2.326 Å, 38.72°, rel. 67.6, (1 0 5)
2.154 Å, 41.94°, rel. 28.8, (0 2 0)
1.580 Å, 58.40°, rel. 38.3, (1 2 5)